Simulated powder X-ray diffraction pattern of SmZn2CuNi for Cu Ka, from the PBE geometry in Alexandria.
Lines closer than 0.1° are merged.

Largest 8 diffraction maxima, in order of rising 2θ, 2θ = 10–90°:
Position (°2θ), d [Å], I_rel
32.39, 2.764, 14
32.60, 2.746, 27
33.75, 2.656, 30
36.24, 2.479, 100
44.70, 2.027, 25
46.30, 1.961, 21
47.16, 1.927, 15
48.16, 1.889, 20

Cell and atoms:
```
data_SmZn2CuNi
_chemical_formula_sum 'Sm2 Zn4 Cu2 Ni2'
_symmetry_space_group_name_H-M 'I m m 2'
_symmetry_Int_Tables_number 44
_cell_length_a 3.779
_cell_length_b 4.054
_cell_length_c 11.201
_cell_angle_alpha 90.00
_cell_angle_beta 90.00
_cell_angle_gamma 90.00
loop_
_symmetry_equiv_pos_as_xyz
'x,y,z'
'-x,-y,z'
'-x,y,z'
'x,-y,z'
'x+1/2,y+1/2,z+1/2'
'-x+1/2,-y+1/2,z+1/2'
'-x+1/2,y+1/2,z+1/2'
'x+1/2,-y+1/2,z+1/2'
loop_
_atom_site_label
_atom_site_fract_x
_atom_site_fract_y
_atom_site_fract_z
Sm1 0.000 0.000 0.000
Zn1 0.000 0.000 0.376
Zn2 0.000 0.500 0.236
Cu1 0.000 0.500 0.727
Ni1 0.000 0.000 0.593
```

Simulated powder X-ray diffraction pattern of SmZn6CuNi for Cu Ka, from the PBE geometry in Alexandria.
Lines closer than 0.1° are merged.

Largest 8 diffraction maxima, in order of rising 2θ, 2θ = 10–90°:
Position (°2θ), d [Å], I_rel
25.66, 3.471, 55
28.35, 3.148, 26
29.69, 3.009, 40
33.16, 2.701, 29
34.10, 2.629, 53
42.01, 2.151, 46
44.91, 2.018, 100
46.35, 1.959, 28

Cell and atoms:
```
data_SmZn6CuNi
_chemical_formula_sum 'Sm4 Zn24 Cu4 Ni4'
_symmetry_space_group_name_H-M 'I m m a'
_symmetry_Int_Tables_number 74
_symmetry_space_group_name_Hall '-I 2b 2'
_cell_length_a 6.645
_cell_length_b 8.603
_cell_length_c 12.594
_cell_angle_alpha 90.00
_cell_angle_beta 90.00
_cell_angle_gamma 90.00
loop_
_atom_site_label
_atom_site_fract_x
_atom_site_fract_y
_atom_site_fract_z
Sm1 0.000 0.250 0.152
Zn1 0.000 0.250 0.415
Zn2 0.000 0.250 0.899
Zn3 0.203 0.014 0.651
Cu1 0.250 0.250 0.750
Ni1 0.000 0.000 0.500
```

Simulated powder X-ray diffraction pattern of Cu23Ni6Sn for Cu Ka, from the PBE geometry in Alexandria.
Lines closer than 0.1° are merged.

Largest 8 diffraction maxima, in order of rising 2θ, 2θ = 10–90°:
Position (°2θ), d [Å], I_rel
27.08, 3.292, 3
35.19, 2.550, 7
41.13, 2.195, 2
44.96, 2.016, 100
47.86, 1.901, 2
65.47, 1.426, 14
67.76, 1.383, 3
82.95, 1.164, 27

Cell and atoms:
```
data_Cu23Ni6Sn
_chemical_formula_sum 'Cu92 Ni24 Sn4'
_symmetry_space_group_name_H-M 'F m -3 m'
_symmetry_Int_Tables_number 225
_symmetry_space_group_name_Hall '-F 4 2 3'
_cell_length_a 11.405
_cell_length_b 11.405
_cell_length_c 11.405
_cell_angle_alpha 90.00
_cell_angle_beta 90.00
_cell_angle_gamma 90.00
loop_
_atom_site_label
_atom_site_fract_x
_atom_site_fract_y
_atom_site_fract_z
Cu1 0.000 0.000 0.000
Cu2 0.000 0.250 0.250
Cu3 0.126 0.126 0.126
Cu4 0.138 0.138 0.362
Ni1 0.000 0.000 0.254
Sn1 0.000 0.000 0.500
```

Simulated powder X-ray diffraction pattern of Cu2Ni12Sn5 for Cu Ka, from the PBE geometry in Alexandria.
Lines closer than 0.1° are merged.

Largest 8 diffraction maxima, in order of rising 2θ, 2θ = 10–90°:
Position (°2θ), d [Å], I_rel
37.77, 2.382, 60
39.34, 2.290, 62
41.56, 2.173, 100
41.89, 2.157, 77
42.52, 2.126, 78
46.74, 1.944, 40
50.72, 1.800, 27
85.19, 1.139, 28

Cell and atoms:
```
data_Cu2Ni12Sn5
_chemical_formula_sum 'Cu4 Ni24 Sn10'
_symmetry_space_group_name_H-M 'C 1 2/m 1'
_symmetry_Int_Tables_number 12
_cell_length_a 12.457
_cell_length_b 6.769
_cell_length_c 6.227
_cell_angle_alpha 90.00
_cell_angle_beta 92.62
_cell_angle_gamma 90.00
loop_
_symmetry_equiv_pos_as_xyz
'x,y,z'
'-x,-y,-z'
'-x,y,-z'
'x,-y,z'
'x+1/2,y+1/2,z'
'-x+1/2,-y+1/2,-z'
'-x+1/2,y+1/2,-z'
'x+1/2,-y+1/2,z'
loop_
_atom_site_label
_atom_site_fract_x
_atom_site_fract_y
_atom_site_fract_z
Cu1 0.000 0.205 0.000
Ni1 0.053 0.000 0.677
Ni2 0.107 0.500 0.096
Ni3 0.109 0.202 0.360
Ni4 0.153 0.311 0.758
Sn1 0.000 0.500 0.500
Sn2 0.187 0.000 0.040
Sn3 0.244 0.500 0.428
```

Simulated powder X-ray diffraction pattern of Sr2Cu5Ni5 for Cu Ka, from the PBE geometry in Alexandria.
Lines closer than 0.1° are merged.

Largest 8 diffraction maxima, in order of rising 2θ, 2θ = 10–90°:
Position (°2θ), d [Å], I_rel
30.02, 2.977, 23
35.04, 2.561, 23
40.23, 2.242, 40
41.45, 2.179, 54
41.95, 2.154, 100
45.58, 1.990, 43
46.49, 1.953, 27
66.87, 1.399, 23

Cell and atoms:
```
data_Sr2Cu5Ni5
_chemical_formula_sum 'Sr2 Cu5 Ni5'
_symmetry_space_group_name_H-M 'P m m m'
_symmetry_Int_Tables_number 47
_cell_length_a 3.981
_cell_length_b 5.206
_cell_length_c 8.825
_cell_angle_alpha 90.00
_cell_angle_beta 90.00
_cell_angle_gamma 90.00
loop_
_symmetry_equiv_pos_as_xyz
'x,y,z'
'-x,-y,-z'
'-x,-y,z'
'x,y,-z'
'x,-y,-z'
'-x,y,z'
'-x,y,-z'
'x,-y,z'
loop_
_atom_site_label
_atom_site_fract_x
_atom_site_fract_y
_atom_site_fract_z
Sr1 0.000 0.000 0.000
Sr2 0.000 0.500 0.500
Cu1 0.500 0.000 0.500
Cu2 0.500 0.251 0.248
Ni1 0.000 0.000 0.336
Ni2 0.000 0.500 0.156
Ni3 0.500 0.500 0.000
```

Simulated powder X-ray diffraction pattern of TaCu2Ni for Cu Ka, from the PBE geometry in Alexandria.
Lines closer than 0.1° are merged.

Largest 8 diffraction maxima, in order of rising 2θ, 2θ = 10–90°:
Position (°2θ), d [Å], I_rel
14.75, 6.005, 33
31.52, 2.838, 26
41.10, 2.196, 100
43.32, 2.089, 90
44.74, 2.025, 78
75.41, 1.261, 31
78.46, 1.219, 24
82.99, 1.164, 24

Cell and atoms:
```
data_TaCu2Ni
_chemical_formula_sum 'Ta1 Cu2 Ni1'
_symmetry_space_group_name_H-M 'P m m 2'
_symmetry_Int_Tables_number 25
_cell_length_a 2.744
_cell_length_b 3.221
_cell_length_c 6.005
_cell_angle_alpha 90.00
_cell_angle_beta 90.00
_cell_angle_gamma 90.00
loop_
_symmetry_equiv_pos_as_xyz
'x,y,z'
'-x,-y,z'
'-x,y,z'
'x,-y,z'
loop_
_atom_site_label
_atom_site_fract_x
_atom_site_fract_y
_atom_site_fract_z
Ta1 0.000 0.000 0.000
Cu1 0.000 0.000 0.516
Cu2 0.500 0.500 0.295
Ni1 0.500 0.500 0.743
```

Simulated powder X-ray diffraction pattern of TaCu3Ni4 for Cu Ka, from the PBE geometry in Alexandria.
Lines closer than 0.1° are merged.

Largest 8 diffraction maxima, in order of rising 2θ, 2θ = 10–90°:
Position (°2θ), d [Å], I_rel
41.25, 2.188, 13
41.46, 2.178, 17
42.71, 2.117, 14
43.23, 2.093, 40
45.69, 1.986, 100
46.85, 1.939, 26
74.34, 1.276, 13
81.04, 1.187, 17

Cell and atoms:
```
data_TaCu3Ni4
_chemical_formula_sum 'Ta2 Cu6 Ni8'
_symmetry_space_group_name_H-M 'P m m a'
_symmetry_Int_Tables_number 51
_cell_length_a 8.371
_cell_length_b 5.264
_cell_length_c 4.377
_cell_angle_alpha 90.00
_cell_angle_beta 90.00
_cell_angle_gamma 90.00
loop_
_symmetry_equiv_pos_as_xyz
'x,y,z'
'-x,-y,-z'
'-x+1/2,-y,z'
'x+1/2,y,-z'
'x+1/2,-y,-z'
'-x+1/2,y,z'
'-x,y,-z'
'x,-y,z'
loop_
_atom_site_label
_atom_site_fract_x
_atom_site_fract_y
_atom_site_fract_z
Ta1 0.000 0.000 0.000
Cu1 0.000 0.500 0.000
Cu2 0.250 0.000 0.384
Cu3 0.250 0.500 0.357
Ni1 0.000 0.257 0.500
Ni2 0.250 0.260 0.859
```

Simulated powder X-ray diffraction pattern of TaCu2Ni3 for Cu Ka, from the PBE geometry in Alexandria.
Lines closer than 0.1° are merged.

Largest 8 diffraction maxima, in order of rising 2θ, 2θ = 10–90°:
Position (°2θ), d [Å], I_rel
24.01, 3.707, 23
42.71, 2.117, 100
42.81, 2.112, 32
48.31, 1.884, 23
50.48, 1.808, 39
72.46, 1.304, 25
86.27, 1.127, 13
89.48, 1.095, 14

Cell and atoms:
```
data_TaCu2Ni3
_chemical_formula_sum 'Ta4 Cu8 Ni12'
_symmetry_space_group_name_H-M 'C 1 2/m 1'
_symmetry_Int_Tables_number 12
_cell_length_a 7.535
_cell_length_b 5.123
_cell_length_c 7.657
_cell_angle_alpha 90.00
_cell_angle_beta 90.04
_cell_angle_gamma 90.00
loop_
_symmetry_equiv_pos_as_xyz
'x,y,z'
'-x,-y,-z'
'-x,y,-z'
'x,-y,z'
'x+1/2,y+1/2,z'
'-x+1/2,-y+1/2,-z'
'-x+1/2,y+1/2,-z'
'x+1/2,-y+1/2,z'
loop_
_atom_site_label
_atom_site_fract_x
_atom_site_fract_y
_atom_site_fract_z
Ta1 0.250 0.000 0.181
Cu1 0.000 0.250 0.000
Cu2 0.250 0.000 0.520
Ni1 0.000 0.250 0.336
Ni2 0.250 0.000 0.845
```

Simulated powder X-ray diffraction pattern of TaCu5Ni6 for Cu Ka, from the PBE geometry in Alexandria.
Lines closer than 0.1° are merged.

Largest 8 diffraction maxima, in order of rising 2θ, 2θ = 10–90°:
Position (°2θ), d [Å], I_rel
43.31, 2.089, 100
43.62, 2.075, 33
49.14, 1.854, 45
53.24, 1.721, 18
75.13, 1.265, 11
75.60, 1.258, 12
87.93, 1.110, 15
88.35, 1.106, 8

Cell and atoms:
```
data_TaCu5Ni6
_chemical_formula_sum 'Ta1 Cu5 Ni6'
_symmetry_space_group_name_H-M 'P 1 2/m 1'
_symmetry_Int_Tables_number 10
_cell_length_a 4.338
_cell_length_b 5.256
_cell_length_c 6.240
_cell_angle_alpha 90.00
_cell_angle_beta 94.05
_cell_angle_gamma 90.00
loop_
_symmetry_equiv_pos_as_xyz
'x,y,z'
'-x,-y,-z'
'-x,y,-z'
'x,-y,z'
loop_
_atom_site_label
_atom_site_fract_x
_atom_site_fract_y
_atom_site_fract_z
Ta1 0.000 0.000 0.000
Cu1 0.000 0.500 0.000
Cu2 0.344 0.500 0.668
Cu3 0.349 0.000 0.664
Ni1 0.154 0.252 0.335
Ni2 0.500 0.256 0.000
```

Simulated powder X-ray diffraction pattern of TbCu10Ni2 for Cu Ka, from the PBE geometry in Alexandria.
Lines closer than 0.1° are merged.

Largest 8 diffraction maxima, in order of rising 2θ, 2θ = 10–90°:
Position (°2θ), d [Å], I_rel
30.17, 2.962, 13
37.07, 2.425, 40
37.25, 2.414, 15
42.96, 2.105, 89
43.20, 2.094, 100
48.50, 1.877, 25
48.65, 1.872, 13
78.95, 1.213, 16

Cell and atoms:
```
data_TbCu10Ni2
_chemical_formula_sum 'Tb4 Cu40 Ni8'
_symmetry_space_group_name_H-M 'F m m m'
_symmetry_Int_Tables_number 69
_symmetry_space_group_name_Hall '-F 2 2'
_cell_length_a 4.828
_cell_length_b 11.853
_cell_length_c 11.948
_cell_angle_alpha 90.00
_cell_angle_beta 90.00
_cell_angle_gamma 90.00
loop_
_atom_site_label
_atom_site_fract_x
_atom_site_fract_y
_atom_site_fract_z
Tb1 0.000 0.000 0.000
Cu1 0.000 0.112 0.390
Cu2 0.000 0.179 0.175
Cu3 0.250 0.000 0.250
Ni1 0.250 0.250 0.000
```

Simulated powder X-ray diffraction pattern of TbCu8Ni4 for Cu Ka, from the PBE geometry in Alexandria.
Lines closer than 0.1° are merged.

Largest 8 diffraction maxima, in order of rising 2θ, 2θ = 10–90°:
Position (°2θ), d [Å], I_rel
30.28, 2.952, 18
37.33, 2.409, 31
43.24, 2.093, 44
43.42, 2.084, 100
48.70, 1.870, 22
48.88, 1.863, 14
71.29, 1.323, 13
79.72, 1.203, 14

Cell and atoms:
```
data_TbCu8Ni4
_chemical_formula_sum 'Tb2 Cu16 Ni8'
_symmetry_space_group_name_H-M 'I 4/m m m'
_symmetry_Int_Tables_number 139
_symmetry_space_group_name_Hall '-I 4 2'
_cell_length_a 8.330
_cell_length_b 8.330
_cell_length_c 4.840
_cell_angle_alpha 90.00
_cell_angle_beta 90.00
_cell_angle_gamma 90.00
loop_
_atom_site_label
_atom_site_fract_x
_atom_site_fract_y
_atom_site_fract_z
Tb1 0.000 0.000 0.000
Cu1 0.000 0.223 0.500
Cu2 0.000 0.351 0.000
Ni1 0.250 0.250 0.250
```

Simulated powder X-ray diffraction pattern of Tb3Cu2Ni3 for Cu Ka, from the PBE geometry in Alexandria.
Lines closer than 0.1° are merged.

Largest 8 diffraction maxima, in order of rising 2θ, 2θ = 10–90°:
Position (°2θ), d [Å], I_rel
31.69, 2.823, 45
34.64, 2.590, 70
36.09, 2.489, 100
38.57, 2.334, 59
40.06, 2.251, 60
41.24, 2.189, 60
43.27, 2.091, 36
56.47, 1.630, 29

Cell and atoms:
```
data_Tb3Cu2Ni3
_chemical_formula_sum 'Tb12 Cu8 Ni12'
_symmetry_space_group_name_H-M 'P n m a'
_symmetry_Int_Tables_number 62
_cell_length_a 7.188
_cell_length_b 14.941
_cell_length_c 5.389
_cell_angle_alpha 90.00
_cell_angle_beta 90.00
_cell_angle_gamma 90.00
loop_
_symmetry_equiv_pos_as_xyz
'x,y,z'
'-x,-y,-z'
'-x+1/2,-y,z+1/2'
'x+1/2,y,-z+1/2'
'x+1/2,-y+1/2,-z+1/2'
'-x+1/2,y+1/2,z+1/2'
'-x,y+1/2,-z'
'x,-y+1/2,z'
loop_
_atom_site_label
_atom_site_fract_x
_atom_site_fract_y
_atom_site_fract_z
Tb1 0.030 0.103 0.137
Tb2 0.169 0.250 0.617
Cu1 0.121 0.610 0.365
Ni1 0.175 0.032 0.586
Ni2 0.187 0.750 0.618
```